Calculated powder diffraction line list of Li4Mn3FeB4O12 for Cu Kα X-rays, from a GGA+U-relaxed structure.
Lines closer than 0.1° are merged.

```
data_Li4Mn3FeB4O12
_chemical_formula_sum 'Li8 Mn6 Fe2 B8 O24'
_space_group_name_H-M_alt 'P 1'
_space_group_IT_number 1
_cell_length_a 5.2496
_cell_length_b 5.2549
_cell_length_c 21.0043
_cell_angle_alpha 91.17
_cell_angle_beta 90.61
_cell_angle_gamma 119.82
loop_
_space_group_symop_operation_xyz
'x,y,z'
loop_
_atom_site_label
_atom_site_fract_x
_atom_site_fract_y
_atom_site_fract_z
Li1 0.0000 0.0000 0.0000
Li2 0.0003 0.9998 0.4992
Li3 0.0108 0.9895 0.7494
Li4 0.0131 0.9903 0.2491
Li5 0.6704 0.6852 0.3742
Li6 0.6702 0.6871 0.8743
Li7 0.6961 0.6608 0.1242
Li8 0.6978 0.6590 0.6242
Mn1 0.0255 0.3347 0.6415
Mn2 0.3418 0.6634 0.0173
Mn3 0.3448 0.6671 0.5163
Mn4 0.3460 0.0142 0.8919
Mn5 0.3483 0.0165 0.3907
Mn6 0.6776 0.3338 0.7665
Fe1 0.0243 0.3314 0.1428
Fe2 0.6843 0.3410 0.2652
B1 0.0069 0.3404 0.8953
B2 0.0074 0.3413 0.3946
B3 0.3433 0.6717 0.7702
B4 0.3440 0.6705 0.2693
B5 0.3514 0.0002 0.1456
B6 0.3514 0.9961 0.6452
B7 0.6822 0.3314 0.0211
B8 0.6825 0.3329 0.5202
O1 0.0758 0.9668 0.6524
O2 0.0778 0.9807 0.1519
O3 0.0959 0.4076 0.2500
O4 0.1020 0.4084 0.7490
O5 0.2772 0.5907 0.9105
O6 0.2778 0.5920 0.4098
O7 0.3107 0.9154 0.7854
O8 0.3229 0.9204 0.2834
O9 0.3682 0.7536 0.1268
O10 0.3819 0.7585 0.6246
O11 0.4192 0.0906 0.4990
O12 0.4197 0.0890 0.9998
O13 0.6013 0.2668 0.6603
O14 0.6044 0.2678 0.1594
O15 0.6140 0.6835 0.2762
O16 0.6176 0.6961 0.7777
O17 0.7060 0.6056 0.0281
O18 0.7071 0.6067 0.5273
O19 0.7694 0.3704 0.8746
O20 0.7701 0.3712 0.3739
O21 0.9256 0.2997 0.0369
O22 0.9261 0.3001 0.5355
O23 0.9785 0.0662 0.4019
O24 0.9776 0.0656 0.9028
```

Top 10 peaks for 2θ from 10° to 80°, low angle first:
2θ/deg	I_rel	index
19.52	65	1 -1 0
21.30	37	1 -1 2
21.47	59	1 0 2
25.50	23	0 1 -4
26.25	29	1 0 4
34.12	86	2 -1 0
34.17	100	0 0 8
40.29	46	0 2 -2
40.62	23	-2 2 2
48.21	33	0 1 10

***

Calculated powder diffraction line list of Li4Mn3FeB4O12 for Cu Kα X-rays, from a GGA+U-relaxed structure.
Lines closer than 0.1° are merged.

```
data_Li4Mn3FeB4O12
_chemical_formula_sum 'Li8 Mn6 Fe2 B8 O24'
_space_group_name_H-M_alt 'P -1'
_space_group_IT_number 2
_cell_length_a 5.2417
_cell_length_b 6.0510
_cell_length_c 16.2970
_cell_angle_alpha 81.92
_cell_angle_beta 89.09
_cell_angle_gamma 89.27
loop_
_space_group_symop_operation_xyz
'x,y,z'
'-x,-y,-z'
loop_
_atom_site_label
_atom_site_fract_x
_atom_site_fract_y
_atom_site_fract_z
Li1 0.0972 0.1894 0.0158
Li2 0.0984 0.6891 0.5157
Li3 0.4025 0.0618 0.2326
Li4 0.4030 0.5606 0.7364
Mn1 0.0807 0.6010 0.3349
Mn2 0.0825 0.0989 0.8351
Mn3 0.4195 0.1498 0.4148
Fe1 0.4140 0.6462 0.9177
B1 0.0780 0.4127 0.1710
B2 0.0810 0.9094 0.6732
B3 0.4181 0.8388 0.0767
B4 0.4193 0.3395 0.5775
O1 0.0362 0.2061 0.3839
O2 0.0491 0.7002 0.8854
O3 0.0667 0.4552 0.7809
O4 0.0690 0.9570 0.2805
O5 0.1584 0.8625 0.0637
O6 0.1597 0.3615 0.5636
O7 0.3375 0.3865 0.1817
O8 0.3407 0.8874 0.6871
O9 0.4310 0.7942 0.4688
O10 0.4334 0.2942 0.9709
O11 0.4639 0.0482 0.8660
O12 0.4640 0.5444 0.3653
```

Top 10 peaks for 2θ from 10° to 80°, low angle first:
2θ/deg	I_rel	index
20.34	78	1 0 -2
22.04	32	0 0 4
22.53	59	1 1 1
33.34	100	0 2 -2
33.95	32	1 1 5
34.22	26	2 0 0
34.52	24	-1 1 5
39.89	25	0 1 7
40.80	33	2 0 4
60.69	25	2 -2 6

***

Calculated powder diffraction line list of Li4Mn3FeB4O12 for Cu Kα X-rays, from a GGA+U-relaxed structure.
Lines closer than 0.1° are merged.

```
data_Li4Mn3FeB4O12
_chemical_formula_sum 'Li8 Mn6 Fe2 B8 O24'
_space_group_name_H-M_alt 'P 1'
_space_group_IT_number 1
_cell_length_a 5.2586
_cell_length_b 9.0839
_cell_length_c 10.4857
_cell_angle_alpha 88.44
_cell_angle_beta 88.87
_cell_angle_gamma 89.73
loop_
_space_group_symop_operation_xyz
'x,y,z'
loop_
_atom_site_label
_atom_site_fract_x
_atom_site_fract_y
_atom_site_fract_z
Li1 0.0000 0.0000 0.0000
Li2 0.0154 0.9938 0.4998
Li3 0.3248 0.3427 0.2506
Li4 0.3667 0.3289 0.7503
Li5 0.5002 0.4998 0.9994
Li6 0.5154 0.4941 0.4995
Li7 0.8259 0.8425 0.2495
Li8 0.8657 0.8291 0.7497
Mn1 0.0099 0.3325 0.9675
Mn2 0.0095 0.6653 0.4644
Mn3 0.3390 0.0069 0.2132
Mn4 0.3566 0.6677 0.7162
Mn5 0.5100 0.1666 0.4653
Mn6 0.8566 0.1669 0.7154
Fe1 0.5171 0.8310 0.9645
Fe2 0.8329 0.5092 0.2151
B1 0.0061 0.3356 0.4570
B2 0.0131 0.6677 0.9602
B3 0.3391 0.6681 0.2065
B4 0.3526 0.9977 0.7090
B5 0.5064 0.8353 0.4575
B6 0.5154 0.1643 0.9575
B7 0.8362 0.1712 0.2087
B8 0.8529 0.4979 0.7086
O1 0.0024 0.3791 0.7498
O2 0.0846 0.6795 0.2458
O3 0.0930 0.9822 0.6942
O4 0.2675 0.3485 0.4434
O5 0.2733 0.6548 0.9306
O6 0.3517 0.9570 0.4267
O7 0.3739 0.0413 0.9979
O8 0.3959 0.7029 0.4998
O9 0.4022 0.3017 0.9444
O10 0.4531 0.5305 0.1945
O11 0.4668 0.1336 0.6780
O12 0.4818 0.7943 0.1766
O13 0.5020 0.8790 0.7506
O14 0.5827 0.1852 0.2489
O15 0.5929 0.4829 0.6943
O16 0.7678 0.8477 0.4429
O17 0.7755 0.1493 0.9275
O18 0.8512 0.4569 0.4257
O19 0.8726 0.5452 0.0009
O20 0.8958 0.8043 0.9450
O21 0.8967 0.2031 0.5000
O22 0.9454 0.0335 0.1933
O23 0.9674 0.6339 0.6782
O24 0.9807 0.2978 0.1799
```

Top 10 peaks for 2θ from 10° to 80°, low angle first:
2θ/deg	I_rel	index
19.53	49	1 -1 0
21.32	29	-1 1 1
21.52	45	0 2 -1
25.61	18	0 2 2
26.31	22	0 2 -2
34.11	42	2 0 0
34.23	100	0 0 4
40.23	20	2 2 1
40.65	17	-2 2 1
48.36	19	1 1 -5

***

Calculated powder diffraction line list of Li8Mn7FeB8O24 for Cu Kα X-rays, from a GGA+U-relaxed structure.
Lines closer than 0.1° are merged.

```
data_Li8Mn7FeB8O24
_chemical_formula_sum 'Li8 Mn7 Fe1 B8 O24'
_space_group_name_H-M_alt 'P 1'
_space_group_IT_number 1
_cell_length_a 6.0566
_cell_length_b 9.1636
_cell_length_c 9.7619
_cell_angle_alpha 81.97
_cell_angle_beta 78.33
_cell_angle_gamma 76.38
loop_
_space_group_symop_operation_xyz
'x,y,z'
loop_
_atom_site_label
_atom_site_fract_x
_atom_site_fract_y
_atom_site_fract_z
Li1 0.0000 0.0000 0.0000
Li2 0.0911 0.6315 0.2510
Li3 0.2492 0.5007 0.7483
Li4 0.3425 0.1301 0.0016
Li5 0.4985 0.0004 0.4982
Li6 0.5923 0.6324 0.7501
Li7 0.7486 0.5005 0.2488
Li8 0.8424 0.1312 0.5010
Mn1 0.1728 0.1896 0.7319
Mn2 0.4187 0.4420 0.0172
Mn3 0.4194 0.6919 0.4796
Mn4 0.6693 0.9423 0.7674
Mn5 0.6719 0.1888 0.2311
Mn6 0.9175 0.4426 0.5185
Mn7 0.9221 0.6900 0.9820
Fe1 0.1663 0.9456 0.2684
B1 0.1495 0.2773 0.2610
B2 0.1945 0.8526 0.7391
B3 0.3970 0.7786 0.0124
B4 0.4442 0.3531 0.4889
B5 0.6474 0.2792 0.7606
B6 0.6931 0.8535 0.2386
B7 0.8981 0.7807 0.5087
B8 0.9443 0.3524 0.9892
O1 0.0001 0.8807 0.8455
O2 0.0247 0.2094 0.9446
O3 0.0387 0.1596 0.3172
O4 0.0595 0.4680 0.9338
O5 0.0657 0.4199 0.3059
O6 0.0908 0.7548 0.4010
O7 0.2495 0.3805 0.5951
O8 0.2743 0.7101 0.6936
O9 0.2814 0.6627 0.0662
O10 0.3107 0.9679 0.6839
O11 0.3168 0.9202 0.0599
O12 0.3425 0.2510 0.1536
O13 0.4974 0.8825 0.3438
O14 0.5254 0.2103 0.4437
O15 0.5312 0.1639 0.8163
O16 0.5591 0.4690 0.4341
O17 0.5679 0.4223 0.8049
O18 0.5903 0.7523 0.9048
O19 0.7499 0.3801 0.0958
O20 0.7737 0.7099 0.1948
O21 0.7844 0.6646 0.5649
O22 0.8110 0.9679 0.1834
O23 0.8172 0.9231 0.5549
O24 0.8418 0.2508 0.6543
```

Top 10 peaks for 2θ from 10° to 80°, low angle first:
2θ/deg	I_rel	index
20.31	78	0 1 2
22.04	34	0 1 -2
22.51	59	1 2 1
30.34	20	2 1 0
33.26	100	2 0 2
33.98	33	1 3 -1
34.14	26	0 3 2
34.55	28	1 0 -3
39.95	26	1 2 -3
40.72	34	0 4 0

***

Calculated powder diffraction line list of Li4Mn3FeB4O12 for Cu Kα X-rays, from a GGA+U-relaxed structure.
Lines closer than 0.1° are merged.

```
data_Li4Mn3FeB4O12
_chemical_formula_sum 'Li4 Mn3 Fe1 B4 O12'
_space_group_name_H-M_alt 'P 1'
_space_group_IT_number 1
_cell_length_a 5.2769
_cell_length_b 6.0641
_cell_length_c 8.9778
_cell_angle_alpha 102.55
_cell_angle_beta 90.80
_cell_angle_gamma 113.57
loop_
_space_group_symop_operation_xyz
'x,y,z'
loop_
_atom_site_label
_atom_site_fract_x
_atom_site_fract_y
_atom_site_fract_z
Li1 0.0000 0.0000 0.0000
Li2 0.1933 0.6540 0.9321
Li3 0.5004 0.9994 0.5007
Li4 0.6971 0.6592 0.4343
Mn1 0.1431 0.5621 0.2609
Mn2 0.5508 0.0938 0.1739
Mn3 0.6398 0.5581 0.7582
Fe1 0.0479 0.0929 0.6767
B1 0.0391 0.0664 0.3360
B2 0.1547 0.5882 0.5999
B3 0.5358 0.0667 0.8317
B4 0.6557 0.5906 0.0991
O1 0.2176 0.4980 0.7204
O2 0.2657 0.0032 0.3321
O3 0.3264 0.6246 0.4838
O4 0.3702 0.0294 0.9498
O5 0.4283 0.6524 0.1018
O6 0.4640 0.1506 0.7107
O7 0.7196 0.5018 0.2201
O8 0.7695 0.0126 0.8286
O9 0.8247 0.6258 0.9819
O10 0.8736 0.0344 0.4543
O11 0.9288 0.6518 0.6023
O12 0.9731 0.1526 0.2140
```

Top 10 peaks for 2θ from 10° to 80°, low angle first:
2θ/deg	I_rel	index
20.40	81	0 0 2
20.65	21	1 -1 1
22.11	33	1 0 1
22.49	61	-1 1 1
33.24	100	0 2 0
34.00	33	2 -1 0
34.24	25	1 0 -3
34.69	30	1 -1 3
40.06	25	2 -1 2
40.78	54	2 0 -2

***

Calculated powder diffraction line list of Li6MnFe5B6O18 for Cu Kα X-rays, from a GGA+U-relaxed structure.
Lines closer than 0.1° are merged.

```
data_Li6MnFe5B6O18
_chemical_formula_sum 'Li6 Mn1 Fe5 B6 O18'
_space_group_name_H-M_alt 'P 1 m 1'
_space_group_IT_number 6
_cell_length_a 8.2358
_cell_length_b 6.2806
_cell_length_c 8.2428
_cell_angle_alpha 90.00
_cell_angle_beta 119.92
_cell_angle_gamma 90.00
loop_
_space_group_symop_operation_xyz
'x,y,z'
'x,-y,z'
loop_
_atom_site_label
_atom_site_fract_x
_atom_site_fract_y
_atom_site_fract_z
Li1 0.0000 0.2494 0.0000
Li2 0.3175 0.2507 0.7303
Li3 0.7310 0.2505 0.4120
Mn1 0.6426 0.0000 0.7013
Fe1 0.0238 0.0000 0.3551
Fe2 0.0238 0.5000 0.3538
Fe3 0.3751 0.0000 0.0812
Fe4 0.3759 0.5000 0.0824
Fe5 0.6489 0.5000 0.7069
B1 0.0157 0.5000 0.7140
B2 0.0179 0.0000 0.7158
B3 0.3479 0.2516 0.3791
B4 0.6824 0.2518 0.0486
O1 0.2100 0.5000 0.7989
O2 0.2123 0.0000 0.7977
O3 0.2342 0.2504 0.4595
O4 0.2690 0.2500 0.1856
O5 0.5425 0.2533 0.4932
O6 0.5741 0.2501 0.1343
O7 0.5966 0.2539 0.8549
O8 0.8766 0.2499 0.1566
O9 0.9065 0.5000 0.5198
O10 0.9065 0.0000 0.5215
O11 0.9309 0.5000 0.8234
O12 0.9362 0.0000 0.8278
```

Top 10 peaks for 2θ from 10° to 80°, low angle first:
2θ/deg	I_rel	index
21.56	100	1 0 -2
31.11	16	1 2 -1
33.21	15	1 0 2
35.95	78	1 2 -2
37.81	31	3 0 0
43.94	14	2 0 -4
47.97	27	3 2 0
53.16	25	2 2 -4
54.82	17	3 2 1
67.06	11	4 2 -5

***

Calculated powder diffraction line list of Li8Mn7FeB8O24 for Cu Kα X-rays, from a GGA+U-relaxed structure.
Lines closer than 0.1° are merged.

```
data_Li8Mn7FeB8O24
_chemical_formula_sum 'Li8 Mn7 Fe1 B8 O24'
_space_group_name_H-M_alt 'P 1'
_space_group_IT_number 1
_cell_length_a 5.2449
_cell_length_b 5.2506
_cell_length_c 21.0051
_cell_angle_alpha 91.04
_cell_angle_beta 90.95
_cell_angle_gamma 119.80
loop_
_space_group_symop_operation_xyz
'x,y,z'
loop_
_atom_site_label
_atom_site_fract_x
_atom_site_fract_y
_atom_site_fract_z
Li1 0.0000 0.0000 0.0000
Li2 0.9998 0.9996 0.4998
Li3 0.0272 0.9728 0.2498
Li4 0.0280 0.9719 0.7500
Li5 0.3297 0.3128 0.1252
Li6 0.3303 0.3127 0.6251
Li7 0.3407 0.3023 0.8751
Li8 0.3406 0.3040 0.3754
Mn1 0.0079 0.6471 0.8924
Mn2 0.0095 0.6467 0.3915
Mn3 0.3559 0.6481 0.7674
Mn4 0.6722 0.9771 0.1430
Mn5 0.6751 0.9803 0.6424
Mn6 0.6764 0.3275 0.0176
Mn7 0.6764 0.3277 0.5173
Fe1 0.3607 0.6453 0.2677
B1 0.0126 0.6451 0.1468
B2 0.0133 0.6463 0.6460
B3 0.3374 0.6538 0.0210
B4 0.3373 0.6537 0.5209
B5 0.6752 0.9852 0.3953
B6 0.6745 0.9853 0.8960
B7 0.6815 0.3094 0.7710
B8 0.6825 0.3123 0.2708
O1 0.0366 0.9188 0.1538
O2 0.0377 0.9199 0.6533
O3 0.0996 0.6842 0.0004
O4 0.0997 0.6840 0.5002
O5 0.2561 0.6127 0.1623
O6 0.2568 0.6132 0.6613
O7 0.3081 0.3789 0.0284
O8 0.3082 0.3789 0.5281
O9 0.4066 0.2800 0.7783
O10 0.4092 0.2915 0.2776
O11 0.4316 0.7209 0.8749
O12 0.4324 0.7215 0.3742
O13 0.6088 0.9044 0.0362
O14 0.6088 0.9046 0.5360
O15 0.6411 0.2286 0.9113
O16 0.6420 0.2288 0.4107
O17 0.7008 0.0657 0.2519
O18 0.7124 0.0718 0.7503
O19 0.7488 0.4021 0.1254
O20 0.7488 0.4035 0.6249
O21 0.9324 0.5809 0.7860
O22 0.9376 0.5802 0.2846
O23 0.9484 0.0090 0.4030
O24 0.9481 0.0097 0.9034
```

Top 10 peaks for 2θ from 10° to 80°, low angle first:
2θ/deg	I_rel	index
19.53	42	1 -1 0
21.32	24	-1 1 2
21.51	38	1 0 2
25.52	29	1 0 -4
26.30	18	1 0 4
34.15	100	0 0 8
34.20	20	2 -1 0
40.26	17	0 2 -2
40.66	15	-2 2 2
48.32	23	0 1 10